This entry pairs a crystal structure of KCaNdWO6 with its calculated X-ray diffraction stick pattern. Radiation: Cu Ka. Structure: DFT lattice parameters and positions (GGA+U).
Peak positions follow from Bragg's law for the DFT cell and can differ from measured ones.

Peak list (6 most intense, 10 to 90 degrees two-theta, low angle first)
- 2θ 20.83, I 64
- 2θ 29.63, I 100
- 2θ 42.40, I 33
- 2θ 47.69, I 28
- 2θ 52.57, I 40
- 2θ 85.14, I 21

Crystal structure
Cell: 6.0303 6.0303 6.0303 Å, 60.00 60.00 60.00°
Sites, in units of the cell vectors:
K  0.0000  0.0000  0.0000
Ca  0.5000  0.5000  0.5000
Nd  0.7500  0.7500  0.7500
W  0.2500  0.2500  0.2500
O  0.0215  0.0215  0.4785
O  0.0215  0.4785  0.0215
O  0.0215  0.4785  0.4785
O  0.4785  0.0215  0.0215
O  0.4785  0.0215  0.4785
O  0.4785  0.4785  0.0215